[1]
Simulated powder diffraction line list of KMg14CrO16 for copper Kα, from a GGA+U-relaxed structure.

Structural model:
```
KMg14CrO16
1.0
4.362 0.000 0.000
0.000 8.612 0.000
0.000 0.000 8.624
K Mg Cr O
1 14 1 16
direct
0.000 0.000 0.000
0.000 0.253 0.247
0.000 0.253 0.753
0.000 0.500 0.000
0.000 0.500 0.500
0.000 0.747 0.247
0.000 0.747 0.753
0.500 0.000 0.244
0.500 0.000 0.756
0.500 0.251 0.500
0.500 0.252 0.000
0.500 0.500 0.248
0.500 0.500 0.752
0.500 0.748 0.000
0.500 0.749 0.500
0.000 0.000 0.500
0.000 0.000 0.276
0.000 0.000 0.724
0.000 0.242 0.500
0.000 0.275 0.000
0.000 0.500 0.259
0.000 0.500 0.741
0.000 0.725 0.000
0.000 0.758 0.500
0.500 0.000 0.000
0.500 0.000 0.500
0.500 0.249 0.252
0.500 0.249 0.748
0.500 0.500 0.000
0.500 0.500 0.500
0.500 0.751 0.252
0.500 0.751 0.748
```

Main lines, in order of rising 2θ (2θ from 10° to 90°):
Position (°2θ)	I_rel
10.27	5
35.95	24
41.40	53
41.93	100
60.39	58
60.80	28
71.95	5
72.70	10
76.23	25
89.97	4

***

[2]
Simulated powder diffraction line list of BaYMn2O6 for copper Kα, from a GGA+U-relaxed structure.

Structural model:
```
BaYMn2O6
1.0
7.840 0.000 0.000
0.000 5.597 0.000
-0.091 0.000 5.551
Ba Y Mn O
2 2 4 12
direct
0.000 0.244 0.250
0.000 0.756 0.750
0.500 0.238 0.250
0.500 0.762 0.750
0.258 0.250 0.750
0.258 0.750 0.250
0.742 0.250 0.750
0.742 0.750 0.250
0.000 0.281 0.750
0.000 0.719 0.250
0.256 0.028 0.027
0.256 0.972 0.527
0.304 0.475 0.473
0.304 0.525 0.973
0.500 0.179 0.750
0.500 0.821 0.250
0.696 0.475 0.027
0.696 0.525 0.527
0.744 0.028 0.473
0.744 0.972 0.973
```

Main lines, in order of rising 2θ (2θ from 10° to 90°):
Position (°2θ)	I_rel
32.00	100
32.25	34
32.40	67
39.54	23
46.06	45
46.33	21
57.04	22
57.12	13
57.40	14
66.92	17

***

[3]
Simulated powder diffraction line list of MgCr2Fe2O6 for copper Kα, from a GGA+U-relaxed structure.

Structural model:
```
MgCr2Fe2O6
1.0
5.154 0.000 0.000
2.553 4.506 0.000
2.558 1.526 5.023
Mg Cr Fe O
1 2 2 6
direct
0.000 0.000 0.000
0.171 0.173 0.485
0.829 0.827 0.515
0.363 0.364 0.910
0.637 0.636 0.090
0.055 0.416 0.741
0.210 0.954 0.253
0.416 0.789 0.748
0.584 0.211 0.252
0.790 0.046 0.747
0.945 0.584 0.259
```

Main lines, in order of rising 2θ (2θ from 10° to 90°):
Position (°2θ)	I_rel
30.97	75
31.05	37
34.48	77
34.64	74
34.82	72
35.76	38
35.97	57
50.58	44
50.69	100
50.85	42

***

[4]
Simulated powder diffraction line list of K3V2P3O12 for copper Kα, from a GGA+U-relaxed structure.

Structural model:
```
K3V2P3O12
1.0
7.733 -4.587 0.000
7.733 4.587 0.000
-5.069 0.000 7.599
K V P O
6 4 6 24
direct
0.000 0.500 0.000
0.095 0.255 0.242
0.255 0.095 0.742
0.500 0.000 0.500
0.745 0.905 0.258
0.905 0.745 0.758
0.157 0.650 0.452
0.350 0.843 0.048
0.650 0.157 0.952
0.843 0.350 0.548
0.046 0.954 0.250
0.260 0.454 0.745
0.454 0.260 0.245
0.546 0.740 0.755
0.740 0.546 0.255
0.954 0.046 0.750
0.019 0.126 0.412
0.077 0.787 0.285
0.093 0.416 0.719
0.126 0.019 0.912
0.213 0.923 0.215
0.225 0.483 0.575
0.270 0.628 0.902
0.289 0.428 0.274
0.372 0.730 0.598
0.416 0.093 0.219
0.428 0.289 0.774
0.483 0.225 0.075
0.517 0.775 0.925
0.572 0.711 0.226
0.584 0.907 0.781
0.628 0.270 0.402
0.711 0.572 0.726
0.730 0.372 0.098
0.775 0.517 0.425
0.787 0.077 0.785
0.874 0.981 0.088
0.907 0.584 0.281
0.923 0.213 0.715
0.981 0.874 0.588
```

Main lines, in order of rising 2θ (2θ from 10° to 90°):
Position (°2θ)	I_rel
19.45	32
22.89	32
30.55	100
30.66	89
30.81	50
30.97	81
34.09	94
34.81	35
46.24	31
46.77	33

***

Repeat the third record exactly.
Simulated powder diffraction line list of MgCr2Fe2O6 for copper Kα, from a GGA+U-relaxed structure.

Structural model:
```
MgCr2Fe2O6
1.0
5.154 0.000 0.000
2.553 4.506 0.000
2.558 1.526 5.023
Mg Cr Fe O
1 2 2 6
direct
0.000 0.000 0.000
0.171 0.173 0.485
0.829 0.827 0.515
0.363 0.364 0.910
0.637 0.636 0.090
0.055 0.416 0.741
0.210 0.954 0.253
0.416 0.789 0.748
0.584 0.211 0.252
0.790 0.046 0.747
0.945 0.584 0.259
```

Main lines, in order of rising 2θ (2θ from 10° to 90°):
Position (°2θ)	I_rel
30.97	75
31.05	37
34.48	77
34.64	74
34.82	72
35.76	38
35.97	57
50.58	44
50.69	100
50.85	42

***

Repeat the fourth record exactly.
Simulated powder diffraction line list of K3V2P3O12 for copper Kα, from a GGA+U-relaxed structure.

Structural model:
```
K3V2P3O12
1.0
7.733 -4.587 0.000
7.733 4.587 0.000
-5.069 0.000 7.599
K V P O
6 4 6 24
direct
0.000 0.500 0.000
0.095 0.255 0.242
0.255 0.095 0.742
0.500 0.000 0.500
0.745 0.905 0.258
0.905 0.745 0.758
0.157 0.650 0.452
0.350 0.843 0.048
0.650 0.157 0.952
0.843 0.350 0.548
0.046 0.954 0.250
0.260 0.454 0.745
0.454 0.260 0.245
0.546 0.740 0.755
0.740 0.546 0.255
0.954 0.046 0.750
0.019 0.126 0.412
0.077 0.787 0.285
0.093 0.416 0.719
0.126 0.019 0.912
0.213 0.923 0.215
0.225 0.483 0.575
0.270 0.628 0.902
0.289 0.428 0.274
0.372 0.730 0.598
0.416 0.093 0.219
0.428 0.289 0.774
0.483 0.225 0.075
0.517 0.775 0.925
0.572 0.711 0.226
0.584 0.907 0.781
0.628 0.270 0.402
0.711 0.572 0.726
0.730 0.372 0.098
0.775 0.517 0.425
0.787 0.077 0.785
0.874 0.981 0.088
0.907 0.584 0.281
0.923 0.213 0.715
0.981 0.874 0.588
```

Main lines, in order of rising 2θ (2θ from 10° to 90°):
Position (°2θ)	I_rel
19.45	32
22.89	32
30.55	100
30.66	89
30.81	50
30.97	81
34.09	94
34.81	35
46.24	31
46.77	33